[1]
This entry pairs a crystal structure of TlP2Br with its simulated XRD peak list. Radiation: Cu Kα, 1.54184 Å. Structure: the GGA-PBE geometry in Alexandria.

Cell and atoms:
```
TlP2Br
1.0
3.401 0.000 0.000
0.005 4.256 0.000
1.624 1.637 7.747
Tl P Br
1 2 1
Cartesian
0.000 0.000 0.000
1.662 3.160 4.738
3.364 4.506 4.855
1.707 2.116 1.599
```

Main lines, low angle first (10 to 80 degrees two-theta):
2θ 11.4, 7.747 Å, I = 100; 2θ 23.0, 3.874 Å, I = 21; 2θ 26.3, 3.387 Å, I = 37; 2θ 28.0, 3.183 Å, I = 33; 2θ 33.8, 2.655 Å, I = 46; 2θ 34.7, 2.582 Å, I = 25

[2]
This entry pairs a crystal structure of K2HoSi2O6 with its simulated XRD peak list. Radiation: Cu Kα, 1.54184 Å. Structure: the GGA-PBE geometry in Alexandria.

Cell and atoms:
```
K2HoSi2O6
1.0
5.071 -2.926 0.000
5.071 2.926 0.000
-3.473 0.000 5.877
K Ho Si O
2 1 2 6
Cartesian
1.601 0.000 0.897
5.068 0.000 4.980
-1.737 0.000 2.939
1.722 0.000 4.597
4.947 0.000 1.281
0.189 0.000 4.094
4.114 1.370 1.503
2.555 1.370 4.374
4.114 -1.370 1.503
2.555 -1.370 4.374
6.480 0.000 1.783
```

Main lines, low angle first (10 to 80 degrees two-theta):
2θ 18.3, 4.861 Å, I = 44; 2θ 20.1, 4.409 Å, I = 58; 2θ 20.3, 4.366 Å, I = 35; 2θ 26.9, 3.313 Å, I = 37; 2θ 30.5, 2.927 Å, I = 100; 2θ 30.8, 2.905 Å, I = 81

[3]
This entry pairs a crystal structure of Rb2Pr2SbO6 with its simulated XRD peak list. Radiation: Cu Kα, 1.54184 Å. Structure: the GGA-PBE geometry in Alexandria.

Cell and atoms:
```
Rb2Pr2SbO6
1.0
3.108 -5.339 0.000
3.108 5.339 0.000
-1.845 0.000 6.751
Rb Pr Sb O
2 2 1 6
Cartesian
3.108 3.615 0.000
3.108 -3.615 0.000
2.185 1.762 3.375
2.185 -1.762 3.375
-0.923 0.000 3.375
0.017 1.665 4.500
0.920 0.000 2.230
0.017 -1.665 4.500
4.353 1.665 2.251
3.451 0.000 4.521
4.353 -1.665 2.251
```

Main lines, low angle first (10 to 80 degrees two-theta):
2θ 13.1, 6.751 Å, I = 93; 2θ 26.4, 3.375 Å, I = 61; 2θ 29.8, 2.998 Å, I = 39; 2θ 30.4, 2.940 Å, I = 72; 2θ 33.7, 2.656 Å, I = 100; 2θ 34.4, 2.609 Å, I = 50

[4]
This entry pairs a crystal structure of Rb12Na with its simulated XRD peak list. Radiation: Cu Kα, 1.54184 Å. Structure: the GGA-PBE geometry in Alexandria.

Cell and atoms:
```
Rb12Na
1.0
-6.559 6.559 6.559
6.559 -6.559 6.559
6.559 6.559 -6.559
Rb Na
12 1
Cartesian
6.559 4.236 -2.484
4.075 0.000 2.323
9.043 0.000 2.323
2.323 4.075 0.000
4.236 -2.484 6.559
0.000 2.323 4.075
6.559 4.236 2.484
2.323 9.043 0.000
4.236 2.484 6.559
-2.484 6.559 4.236
2.484 6.559 4.236
0.000 2.323 9.043
0.000 0.000 0.000
```

Main lines, low angle first (10 to 80 degrees two-theta):
2θ 19.1, 4.638 Å, I = 22; 2θ 21.4, 4.148 Å, I = 100; 2θ 23.5, 3.787 Å, I = 26; 2θ 25.4, 3.506 Å, I = 72; 2θ 40.1, 2.250 Å, I = 52; 2θ 42.5, 2.128 Å, I = 34

[5]
This entry pairs a crystal structure of PIrOs4 with its simulated XRD peak list. Radiation: Cu Kα, 1.54184 Å. Structure: the GGA-PBE geometry in Alexandria.

Cell and atoms:
```
PIrOs4
1.0
0.000 3.631 3.631
3.631 0.000 3.631
3.631 3.631 0.000
P Ir Os
1 1 4
Cartesian
0.000 0.000 0.000
1.815 1.815 1.815
4.533 2.728 2.728
2.728 4.533 2.728
2.728 2.728 4.533
4.533 4.533 4.533
```

Main lines, low angle first (10 to 80 degrees two-theta):
2θ 21.2, 4.192 Å, I = 38; 2θ 41.2, 2.189 Å, I = 100; 2θ 43.2, 2.096 Å, I = 59; 2θ 50.3, 1.815 Å, I = 14; 2θ 67.0, 1.397 Å, I = 32; 2θ 73.8, 1.284 Å, I = 29

[6]
This entry pairs a crystal structure of YIn3Ni2 with its simulated XRD peak list. Radiation: Cu Kα, 1.54184 Å. Structure: the GGA-PBE geometry in Alexandria.

Cell and atoms:
```
YIn3Ni2
1.0
8.014 -2.108 0.000
8.014 2.108 0.000
-4.343 0.000 7.127
Y In Ni
2 6 4
Cartesian
1.473 0.000 0.897
10.211 0.000 6.229
14.582 0.000 2.369
-2.898 0.000 4.758
4.724 0.000 0.931
2.988 0.000 3.780
8.696 0.000 3.347
6.960 0.000 6.196
0.155 0.000 4.976
7.393 0.000 1.016
4.291 0.000 6.111
11.529 0.000 2.151
```

Main lines, low angle first (10 to 80 degrees two-theta):
2θ 35.5, 2.532 Å, I = 48; 2θ 36.1, 2.487 Å, I = 100; 2θ 39.5, 2.281 Å, I = 30; 2θ 41.0, 2.199 Å, I = 60; 2θ 42.9, 2.108 Å, I = 40; 2θ 68.1, 1.377 Å, I = 23

[7]
This entry pairs a crystal structure of La4Tb5Sm with its simulated XRD peak list. Radiation: Cu Kα, 1.54184 Å. Structure: the GGA-PBE geometry in Alexandria.

Cell and atoms:
```
La4Tb5Sm
1.0
10.755 0.000 0.000
0.000 10.755 0.000
0.000 0.000 5.911
La Tb Sm
8 10 2
Cartesian
0.488 8.067 0.758
2.689 5.866 5.153
2.689 10.267 5.153
4.889 8.067 0.758
5.866 2.689 5.153
8.067 0.488 0.758
8.067 4.889 0.758
10.267 2.689 5.153
0.964 0.964 2.043
0.964 4.414 2.043
2.689 8.067 2.956
4.414 0.964 2.043
4.414 4.414 2.043
6.342 6.342 3.868
6.342 9.792 3.868
8.067 2.689 2.956
9.792 6.342 3.868
9.792 9.792 3.868
2.689 2.689 5.193
8.067 8.067 0.718
```

Main lines, low angle first (10 to 80 degrees two-theta):
2θ 27.9, 3.198 Å, I = 23; 2θ 29.1, 3.065 Å, I = 100; 2θ 30.3, 2.948 Å, I = 57; 2θ 31.4, 2.850 Å, I = 38; 2θ 35.4, 2.535 Å, I = 34; 2θ 52.6, 1.739 Å, I = 31

[8]
This entry pairs a crystal structure of CrHgOs2 with its simulated XRD peak list. Radiation: Cu Kα, 1.54184 Å. Structure: the GGA-PBE geometry in Alexandria.

Cell and atoms:
```
CrHgOs2
1.0
1.386 0.800 9.277
-1.386 0.800 9.277
0.000 -1.600 9.277
Cr Hg Os
1 1 2
Cartesian
0.000 0.000 0.000
0.000 0.000 13.915
0.000 0.000 7.292
0.000 0.000 20.538
```

Main lines, low angle first (10 to 80 degrees two-theta):
2θ 28.9, 3.092 Å, I = 30; 2θ 38.8, 2.319 Å, I = 22; 2θ 39.7, 2.269 Å, I = 100; 2θ 40.9, 2.204 Å, I = 20; 2θ 45.9, 1.976 Å, I = 56; 2θ 67.6, 1.386 Å, I = 22

[9]
This entry pairs a crystal structure of Fe4Ni15Pt with its simulated XRD peak list. Radiation: Cu Kα, 1.54184 Å. Structure: the GGA-PBE geometry in Alexandria.

Cell and atoms:
```
Fe4Ni15Pt
1.0
3.581 0.000 0.000
0.000 3.581 0.000
0.000 0.000 17.678
Fe Ni Pt
4 15 1
Cartesian
0.000 0.000 1.747
0.000 0.000 5.244
0.000 0.000 12.435
0.000 0.000 15.931
0.000 1.790 0.000
0.000 1.790 3.482
0.000 1.790 6.958
0.000 1.790 10.720
0.000 1.790 14.196
1.790 0.000 0.000
1.790 0.000 3.482
1.790 0.000 6.958
1.790 0.000 10.720
1.790 0.000 14.196
1.790 1.790 1.750
1.790 1.790 5.224
1.790 1.790 8.839
1.790 1.790 12.454
1.790 1.790 15.928
0.000 0.000 8.839
```

Main lines, low angle first (10 to 80 degrees two-theta):
2θ 10.0, 8.839 Å, I = 5; 2θ 44.0, 2.059 Å, I = 100; 2θ 51.0, 1.790 Å, I = 32; 2θ 51.7, 1.768 Å, I = 15; 2θ 75.0, 1.266 Å, I = 9; 2θ 75.6, 1.258 Å, I = 17

[10]
This entry pairs a crystal structure of YEr2TcO8 with its simulated XRD peak list. Radiation: Cu Kα, 1.54184 Å. Structure: the GGA-PBE geometry in Alexandria.

Cell and atoms:
```
YEr2TcO8
1.0
3.528 -3.564 0.000
3.528 3.564 0.000
0.000 0.000 6.708
Y Er Tc O
1 2 1 8
Cartesian
0.000 0.000 0.000
3.528 0.000 1.665
3.528 0.000 5.043
0.000 0.000 3.354
3.528 2.256 1.964
3.528 2.256 4.744
1.910 0.000 3.354
2.176 0.000 0.000
4.880 0.000 0.000
5.147 0.000 3.354
3.528 -2.256 1.964
3.528 -2.256 4.744
```

Main lines, low angle first (10 to 80 degrees two-theta):
2θ 25.0, 3.564 Å, I = 61; 2θ 25.2, 3.528 Å, I = 57; 2θ 32.1, 2.788 Å, I = 100; 2θ 35.8, 2.507 Å, I = 28; 2θ 48.7, 1.870 Å, I = 41; 2θ 49.0, 1.859 Å, I = 38

[11]
This entry pairs a crystal structure of Be5Ag7 with its simulated XRD peak list. Radiation: Cu Kα, 1.54184 Å. Structure: the GGA-PBE geometry in Alexandria.

Cell and atoms:
```
Be5Ag7
1.0
-4.031 4.031 3.011
4.031 -4.031 3.011
4.031 4.031 -3.011
Be Ag
5 7
Cartesian
0.000 0.000 0.000
1.564 1.564 -0.653
2.467 -2.467 2.358
-2.467 2.467 2.358
2.467 2.467 2.358
4.031 0.000 0.019
4.031 2.148 -1.493
2.148 4.031 -1.493
1.883 0.000 1.518
0.000 1.883 1.518
0.000 4.031 0.019
0.000 0.000 3.766
```

Main lines, low angle first (10 to 80 degrees two-theta):
2θ 18.4, 4.825 Å, I = 57; 2θ 22.1, 4.031 Å, I = 66; 2θ 28.9, 3.093 Å, I = 100; 2θ 43.2, 2.096 Å, I = 59; 2θ 43.7, 2.070 Å, I = 91; 2θ 45.0, 2.016 Å, I = 54

[12]
This entry pairs a crystal structure of Tb5Y5Ho with its simulated XRD peak list. Radiation: Cu Kα, 1.54184 Å. Structure: the GGA-PBE geometry in Alexandria.

Cell and atoms:
```
Tb5Y5Ho
1.0
6.849 0.000 0.000
2.350 6.458 0.000
2.211 1.629 8.190
Tb Y Ho
5 5 1
Cartesian
0.000 0.000 0.000
4.291 3.440 5.975
5.836 6.547 5.209
5.574 1.540 2.981
7.119 4.647 2.215
2.152 1.889 2.241
3.691 4.981 2.990
4.599 3.229 0.000
7.719 3.106 5.200
9.258 6.198 5.949
3.424 0.000 0.000
```

Main lines, low angle first (10 to 80 degrees two-theta):
2θ 31.5, 2.841 Å, I = 15; 2θ 31.8, 2.810 Å, I = 41; 2θ 32.2, 2.781 Å, I = 100; 2θ 32.5, 2.758 Å, I = 44; 2θ 32.8, 2.730 Å, I = 22; 2θ 46.2, 1.967 Å, I = 18